Entry 1:
This entry pairs a crystal structure of TlBr2Cl with its simulated powder diffraction line list. Radiation: CuKα. Structure: a PBE-relaxed structure.
Neutral-atom scattering factors, no anomalous dispersion.

Structural model:
```
TlBr2Cl
1.0
5.3197 0.0000 0.0000
0.0000 5.3603 0.0000
0.0000 0.0000 5.3988
Tl Br Cl
1 2 1
Cartesian
0.0000 0.0000 0.0000 Tl
2.6598 1.3660 2.6994 Br
2.6598 3.9944 2.6994 Br
0.0000 2.6802 0.0000 Cl
```

The 10 most intense peaks (2θ = 10–80°), by angle:
16.54°, intensity 139; 23.46°, intensity 1000; 23.56°, intensity 142; 28.85°, intensity 154; 33.19°, intensity 174; 33.70°, intensity 167; 37.46°, intensity 249; 37.58°, intensity 247; 50.99°, intensity 203; 51.26°, intensity 200

---

Entry 2:
This entry pairs a crystal structure of Y3Tm3TlIn2 with its simulated powder diffraction line list. Radiation: CuKα. Structure: a PBE-relaxed structure.
Neutral-atom scattering factors, no anomalous dispersion.

Structural model:
```
Y3Tm3TlIn2
1.0
8.8732 0.0000 0.0000
-4.4366 7.6844 0.0000
0.0000 0.0000 3.7663
Y Tm Tl In
3 3 1 2
Cartesian
-3.1632 5.4788 0.0000 Y
1.2734 2.2055 0.0000 Y
6.3264 0.0000 0.0000 Y
-1.6964 2.9383 1.8831 Tm
3.3928 0.0000 1.8831 Tm
2.7402 4.7461 1.8831 Tm
0.0000 0.0000 1.8831 Tl
0.0000 5.1229 0.0000 In
4.4366 2.5615 0.0000 In
```

The 10 most intense peaks (2θ = 10–80°), by angle:
30.78°, intensity 246; 31.15°, intensity 1000; 33.31°, intensity 731; 35.03°, intensity 948; 39.17°, intensity 354; 47.57°, intensity 166; 48.33°, intensity 181; 57.74°, intensity 415; 61.08°, intensity 375; 65.61°, intensity 214

---

Entry 3:
This entry pairs a crystal structure of AcPm2Ag2Pb2 with its simulated powder diffraction line list. Radiation: CuKα. Structure: a PBE-relaxed structure.
Neutral-atom scattering factors, no anomalous dispersion.

Structural model:
```
AcPm2Ag2Pb2
1.0
2.5234 1.4569 9.2467
-2.5234 1.4569 9.2467
0.0000 -2.9138 9.2467
Ac Pm Ag Pb
1 2 2 2
Cartesian
0.0000 0.0000 0.0000 Ac
0.0000 0.0000 3.7813 Pm
0.0000 0.0000 23.9589 Pm
0.0000 0.0000 12.2877 Ag
0.0000 0.0000 15.4525 Ag
0.0000 0.0000 7.2716 Pb
0.0000 0.0000 20.4685 Pb
```

The 10 most intense peaks (2θ = 10–80°), by angle:
24.07°, intensity 257; 30.45°, intensity 909; 32.97°, intensity 318; 35.58°, intensity 1000; 38.44°, intensity 136; 47.51°, intensity 267; 49.28°, intensity 163; 60.74°, intensity 256; 62.24°, intensity 279; 63.90°, intensity 183

---

Entry 4:
This entry pairs a crystal structure of La8InSb5 with its simulated powder diffraction line list. Radiation: CuKα. Structure: a PBE-relaxed structure.
Neutral-atom scattering factors, no anomalous dispersion.

Structural model:
```
La8InSb5
1.0
-4.8584 4.8584 4.8766
4.8584 -4.8584 4.8766
4.8584 4.8584 -4.8766
La In Sb
8 1 5
Cartesian
4.1996 3.1609 -2.9748 La
4.1442 1.7508 0.5378 La
0.6588 1.6975 1.9018 La
3.1075 -0.7142 4.3389 La
1.7508 5.5726 -0.5378 La
1.6975 -0.6588 7.8514 La
3.1609 5.5172 2.9748 La
0.7142 3.1075 5.4144 La
0.0000 4.8584 2.4383 In
1.2203 2.4562 -1.2089 Sb
7.2606 1.2203 1.2089 Sb
0.0000 0.0000 4.8766 Sb
3.6381 2.4022 3.6677 Sb
-2.4022 3.6381 6.0855 Sb
```

The 10 most intense peaks (2θ = 10–80°), by angle:
29.02°, intensity 1000; 34.49°, intensity 659; 43.64°, intensity 94; 45.68°, intensity 166; 47.61°, intensity 80; 47.69°, intensity 146; 58.37°, intensity 86; 58.54°, intensity 172; 60.22°, intensity 81; 61.76°, intensity 96

---

> What is the formula in the second record?

Y3Tm3TlIn2